For NdLu2Sn7, a DFT-relaxed cell (GGA-PBE, OQMD) gives the simulated X-ray diffraction stick pattern in this record (λ = 1.5418 Å (Cu Kα)).
No peak broadening, texture or thermal motion is included.

Structural model:
```
data_NdLu2Sn7
_chemical_formula_sum 'Nd2 Lu4 Sn14'
_space_group_name_H-M_alt 'C m m m'
_space_group_IT_number 65
_space_group_name_Hall '-C 2 2'
_cell_length_a 4.4238
_cell_length_b 26.3522
_cell_length_c 4.4815
_cell_angle_alpha 90.00
_cell_angle_beta 90.00
_cell_angle_gamma 90.00
loop_
_atom_site_label
_atom_site_fract_x
_atom_site_fract_y
_atom_site_fract_z
Nd1 0.0000 0.0000 0.0000
Lu1 0.0000 0.3084 0.5000
Sn1 0.0000 0.0999 0.5000
Sn2 0.0000 0.2105 0.0000
Sn3 0.0000 0.3994 0.0000
Sn4 0.0000 0.5000 0.5000
```

The 10 most intense peaks (2θ from 10° to 80°), low angle first:
hkl  2theta  d_spacing  Rel. int.
1 5 1  33.1  2.703  1000
0 10 0  34.0  2.635  208
0 0 2  40.2  2.241  154
2 0 0  40.8  2.212  149
0 10 2  53.7  1.707  117
2 10 0  54.1  1.694  113
1 15 1  60.3  1.534  148
1 5 3  68.7  1.367  138
3 5 1  69.4  1.354  123
2 10 2  69.6  1.351  109



For Pr3NdSi4, a DFT-relaxed cell (GGA-PBE, OQMD) gives the simulated X-ray diffraction stick pattern in this record (λ = 1.5418 Å (Cu Kα)).
No peak broadening, texture or thermal motion is included.

Structural model:
```
data_Pr3NdSi4
_chemical_formula_sum 'Pr3 Nd1 Si4'
_space_group_name_H-M_alt 'P 1 m 1'
_space_group_IT_number 6
_cell_length_a 5.9635
_cell_length_b 3.9633
_cell_length_c 8.3051
_cell_angle_alpha 90.00
_cell_angle_beta 90.09
_cell_angle_gamma 90.00
loop_
_space_group_symop_operation_xyz
'x,y,z'
'x,-y,z'
loop_
_atom_site_label
_atom_site_fract_x
_atom_site_fract_y
_atom_site_fract_z
Pr1 0.0000 0.0000 0.0000
Pr2 0.2282 0.5000 0.3591
Pr3 0.7280 0.0000 0.5004
Nd1 0.4999 0.5000 0.8593
Si1 0.2358 0.0000 0.6457
Si2 0.4933 0.0000 0.1434
Si3 0.7343 0.5000 0.2140
Si4 0.9937 0.5000 0.7152
```

The 10 most intense peaks (2θ from 10° to 80°), low angle first:
hkl  2theta  d_spacing  Rel. int.
1 0 -2  26.1  3.408  313
1 1 0  27.0  3.301  380
1 1 -1  29.1  3.067  1000
0 1 2  31.2  2.867  736
2 0 1  31.9  2.806  826
1 1 2  34.7  2.584  437
1 0 -3  35.8  2.511  494
2 1 -1  39.3  2.290  405
2 1 -3  50.5  1.806  336
2 2 1  56.9  1.619  317



For TmTlSeO, a DFT-relaxed cell (GGA-PBE, OQMD) gives the simulated X-ray diffraction stick pattern in this record (λ = 1.5418 Å (Cu Kα)).
No peak broadening, texture or thermal motion is included.

Structural model:
```
data_TmTlSeO
_chemical_formula_sum 'Tm4 Tl4 Se4 O4'
_space_group_name_H-M_alt 'C 1 2 1'
_space_group_IT_number 5
_cell_length_a 5.5133
_cell_length_b 5.5041
_cell_length_c 12.2793
_cell_angle_alpha 90.00
_cell_angle_beta 99.06
_cell_angle_gamma 90.00
loop_
_space_group_symop_operation_xyz
'x,y,z'
'-x,y,-z'
'x+1/2,y+1/2,z'
'-x+1/2,y+1/2,-z'
loop_
_atom_site_label
_atom_site_fract_x
_atom_site_fract_y
_atom_site_fract_z
Tm1 0.2152 0.0000 0.4134
Tl1 0.2272 0.6549 0.8881
Se1 0.1869 0.1574 0.7585
O1 0.0000 0.2572 0.5000
O2 0.0000 0.7535 0.5000
```

The 10 most intense peaks (2θ from 10° to 80°), low angle first:
hkl  2theta  d_spacing  Rel. int.
1 1 1  24.9  3.573  332
1 1 -2  25.9  3.442  184
1 1 2  28.7  3.109  288
1 1 -3  30.1  2.966  1000
0 2 0  32.5  2.752  229
2 0 0  32.9  2.722  422
0 2 1  33.4  2.684  307
1 1 3  33.8  2.651  717
2 2 -1  46.7  1.945  272
1 3 2  55.7  1.650  241



For FeTeSe, a DFT-relaxed cell (GGA-PBE, OQMD) gives the simulated X-ray diffraction stick pattern in this record (λ = 1.5418 Å (Cu Kα)).
No peak broadening, texture or thermal motion is included.

Structural model:
```
data_FeTeSe
_chemical_formula_sum 'Fe2 Te2 Se2'
_space_group_name_H-M_alt 'P 1 2/m 1'
_space_group_IT_number 10
_cell_length_a 5.0983
_cell_length_b 3.7035
_cell_length_c 6.0305
_cell_angle_alpha 90.00
_cell_angle_beta 93.13
_cell_angle_gamma 90.00
loop_
_space_group_symop_operation_xyz
'x,y,z'
'-x,-y,-z'
'-x,y,-z'
'x,-y,z'
loop_
_atom_site_label
_atom_site_fract_x
_atom_site_fract_y
_atom_site_fract_z
Fe1 0.0000 0.0000 0.0000
Fe2 0.5000 0.5000 0.5000
Te1 0.2275 0.0000 0.6435
Se1 0.2720 0.5000 0.1392
```

The 10 most intense peaks (2θ from 10° to 80°), low angle first:
hkl  2theta  d_spacing  Rel. int.
1 1 0  29.8  2.995  394
1 1 -1  33.0  2.716  1000
1 0 -2  33.8  2.656  692
1 1 1  33.9  2.648  845
2 0 0  35.3  2.545  300
1 0 2  35.5  2.532  631
2 1 -1  45.1  2.009  482
2 1 1  46.5  1.954  539
0 2 0  49.2  1.852  423
0 1 3  51.8  1.765  606



For Cu14Te, a DFT-relaxed cell (GGA-PBE, OQMD) gives the simulated X-ray diffraction stick pattern in this record (λ = 1.5418 Å (Cu Kα)).
No peak broadening, texture or thermal motion is included.

Structural model:
```
data_Cu14Te
_chemical_formula_sum 'Cu28 Te2'
_space_group_name_H-M_alt 'P 1 21/m 1'
_space_group_IT_number 11
_cell_length_a 7.1947
_cell_length_b 2.7290
_cell_length_c 29.3030
_cell_angle_alpha 90.00
_cell_angle_beta 92.57
_cell_angle_gamma 90.00
loop_
_space_group_symop_operation_xyz
'x,y,z'
'-x,-y,-z'
'-x,y+1/2,-z'
'x,-y+1/2,z'
loop_
_atom_site_label
_atom_site_fract_x
_atom_site_fract_y
_atom_site_fract_z
Cu1 0.0110 0.2500 0.2587
Cu2 0.0265 0.2500 0.8849
Cu3 0.0827 0.7500 0.0310
Cu4 0.1398 0.2500 0.1777
Cu5 0.1447 0.2500 0.8031
Cu6 0.1932 0.7500 0.9478
Cu7 0.2483 0.2500 0.0926
Cu8 0.2656 0.2500 0.7211
Cu9 0.2957 0.7500 0.2415
Cu10 0.3073 0.7500 0.8658
Cu11 0.3606 0.2500 0.0100
Cu12 0.4115 0.7500 0.1544
Cu13 0.4282 0.7500 0.7846
Cu14 0.4730 0.2500 0.9278
Te1 0.4503 0.2500 0.3167
```

The 10 most intense peaks (2θ from 10° to 80°), low angle first:
hkl  2theta  d_spacing  Rel. int.
2 1 2  42.2  2.141  499
1 0 13  42.6  2.121  651
2 1 3  42.9  2.109  1000
3 0 -8  44.3  2.047  435
1 0 14  45.7  1.984  193
1 1 -10  46.9  1.939  522
1 1 -11  49.1  1.856  482
4 0 5  54.1  1.697  191
0 2 0  68.8  1.364  166
5 1 -5  75.9  1.253  169



For CsZn2BO3F2, a DFT-relaxed cell (GGA-PBE, OQMD) gives the simulated X-ray diffraction stick pattern in this record (λ = 1.5418 Å (Cu Kα)).
No peak broadening, texture or thermal motion is included.

Structural model:
```
data_CsZn2BO3F2
_chemical_formula_sum 'Cs3 Zn6 B3 O9 F6'
_space_group_name_H-M_alt 'R 3 2'
_space_group_IT_number 155
_space_group_name_Hall 'R 3 2"'
_cell_length_a 4.9709
_cell_length_b 4.9709
_cell_length_c 20.4438
_cell_angle_alpha 90.00
_cell_angle_beta 90.00
_cell_angle_gamma 120.00
loop_
_atom_site_label
_atom_site_fract_x
_atom_site_fract_y
_atom_site_fract_z
Cs1 0.0000 0.0000 0.0000
Zn1 0.0000 0.0000 0.2024
B1 0.0000 0.0000 0.5000
O1 0.0000 0.2765 0.5000
F1 0.0000 0.0000 0.2947
```

The 10 most intense peaks (2θ from 10° to 80°), low angle first:
hkl  2theta  d_spacing  Rel. int.
1 0 1  21.1  4.213  725
0 0 6  26.2  3.407  392
1 0 4  27.1  3.293  1000
0 1 5  30.1  2.965  699
1 1 0  36.1  2.485  865
1 1 6  45.2  2.008  248
2 0 5  47.8  1.905  249
1 0 10  49.3  1.847  398
1 2 5  61.3  1.512  230
2 1 10  74.5  1.273  195



For YHoCSe, a DFT-relaxed cell (GGA-PBE, OQMD) gives the simulated X-ray diffraction stick pattern in this record (λ = 1.5418 Å (Cu Kα)).
No peak broadening, texture or thermal motion is included.

Structural model:
```
data_YHoCSe
_chemical_formula_sum 'Y2 Ho2 C2 Se2'
_space_group_name_H-M_alt 'P -3 m 1'
_space_group_IT_number 164
_space_group_name_Hall '-P 3 2"'
_cell_length_a 3.7523
_cell_length_b 3.7523
_cell_length_c 13.2587
_cell_angle_alpha 90.00
_cell_angle_beta 90.00
_cell_angle_gamma 120.00
loop_
_atom_site_label
_atom_site_fract_x
_atom_site_fract_y
_atom_site_fract_z
Y1 0.3333 0.6667 0.3998
Ho1 0.3333 0.6667 0.0999
C1 0.0000 0.0000 0.0000
C2 0.0000 0.0000 0.5000
Se1 0.3333 0.6667 0.7502
```

The 10 most intense peaks (2θ from 10° to 80°), low angle first:
hkl  2theta  d_spacing  Rel. int.
1 0 0  27.4  3.250  279
1 0 1  28.3  3.156  94
0 1 3  34.3  2.618  1000
0 1 4  38.8  2.320  62
0 0 6  40.8  2.210  100
1 1 0  48.5  1.876  281
1 0 6  49.9  1.827  107
2 0 3  60.7  1.525  188
1 1 6  65.2  1.430  150
0 1 9  70.1  1.342  63



For BaSmHgAs2, a DFT-relaxed cell (GGA-PBE, OQMD) gives the simulated X-ray diffraction stick pattern in this record (λ = 1.5418 Å (Cu Kα)).
No peak broadening, texture or thermal motion is included.

Structural model:
```
data_BaSmHgAs2
_chemical_formula_sum 'Ba4 Sm4 Hg4 As8'
_space_group_name_H-M_alt 'C m c 21'
_space_group_IT_number 36
_cell_length_a 4.3608
_cell_length_b 18.1193
_cell_length_c 7.4048
_cell_angle_alpha 90.00
_cell_angle_beta 90.00
_cell_angle_gamma 90.00
loop_
_space_group_symop_operation_xyz
'x,y,z'
'-x,-y,z+1/2'
'-x,y,z'
'x,-y,z+1/2'
'x+1/2,y+1/2,z'
'-x+1/2,-y+1/2,z+1/2'
'-x+1/2,y+1/2,z'
'x+1/2,-y+1/2,z+1/2'
loop_
_atom_site_label
_atom_site_fract_x
_atom_site_fract_y
_atom_site_fract_z
Ba1 0.0000 0.1948 0.0000
Sm1 0.0000 0.0228 0.6681
Hg1 0.0000 0.3924 0.8408
As1 0.0000 0.1703 0.5113
As2 0.0000 0.4551 0.4425
```

The 10 most intense peaks (2θ from 10° to 80°), low angle first:
hkl  2theta  d_spacing  Rel. int.
0 2 1  15.5  5.733  278
1 1 1  24.2  3.679  293
0 2 2  26.0  3.427  191
1 3 1  28.0  3.191  323
0 4 2  31.2  2.867  205
0 6 1  32.1  2.791  1000
1 5 0  32.1  2.787  691
1 3 2  35.1  2.557  570
2 0 0  41.4  2.180  315
2 6 1  53.3  1.719  165